# 1
This entry pairs a crystal structure of Dy2MgSi2 with its calculated powder X-ray diffraction pattern. Radiation: Cu Kα (weighted mean of Kα1 and Kα2). Structure: a structure optimized by DFT (GGA-PBE).

Atomic structure:
Lattice parameters (Å, degrees): 7.1602 7.1602 4.2264 90.00 90.00 90.00
Fractional coordinates of all 10 atoms:
Dy: 0.1780 0.3220 0.0000
Dy: 0.3220 0.8220 0.0000
Dy: 0.6780 0.1780 0.0000
Dy: 0.8220 0.6780 0.0000
Mg: 0.0000 0.0000 0.5000
Mg: 0.5000 0.5000 0.5000
Si: 0.1182 0.6182 0.5000
Si: 0.3818 0.1182 0.5000
Si: 0.6182 0.8818 0.5000
Si: 0.8818 0.3818 0.5000

Principal peaks in the range 10° ≤ 2θ ≤ 90°, by angle:
two_theta  Rel. int.
21.02  35
24.87  24
27.86  46
32.78  45
35.16  100
39.81  18
42.79  17
51.84  17
52.71  18
57.36  26

# 2
This entry pairs a crystal structure of CaGaPt with its calculated powder X-ray diffraction pattern. Radiation: Cu Kα (weighted mean of Kα1 and Kα2). Structure: a structure optimized by DFT (GGA-PBE).

Atomic structure:
Lattice parameters (Å, degrees): 7.1743 4.4706 7.6218 90.00 90.00 90.00
Fractional coordinates of all 12 atoms:
Ca: 0.0112 0.2500 0.1884
Ca: 0.4888 0.7500 0.6884
Ca: 0.5112 0.2500 0.3116
Ca: 0.9888 0.7500 0.8116
Ga: 0.1664 0.2500 0.5777
Ga: 0.3336 0.7500 0.0777
Ga: 0.6664 0.2500 0.9223
Ga: 0.8336 0.7500 0.4223
Pt: 0.2039 0.7500 0.3984
Pt: 0.2961 0.2500 0.8984
Pt: 0.7039 0.7500 0.1016
Pt: 0.7961 0.2500 0.6016

Principal peaks in the range 10° ≤ 2θ ≤ 90°, by angle:
two_theta  Rel. int.
23.06  68
24.82  58
26.24  72
26.48  60
33.32  59
34.14  100
39.49  57
40.35  65
40.85  97
73.68  50

# 3
This entry pairs a crystal structure of Mg5Si9 with its calculated powder X-ray diffraction pattern. Radiation: Cu Kα (weighted mean of Kα1 and Kα2). Structure: a structure optimized by DFT (GGA-PBE).

Atomic structure:
Lattice parameters (Å, degrees): 7.5318 7.5350 10.8321 73.75 88.32 60.70
Fractional coordinates of all 28 atoms:
Mg: 0.0000 0.0000 0.0000
Mg: 0.0033 0.2959 0.5285
Mg: 0.2016 0.3950 0.2788
Mg: 0.2630 0.9232 0.4243
Mg: 0.4733 0.7309 0.9596
Mg: 0.5164 0.4468 0.4594
Mg: 0.5929 0.1854 0.1358
Mg: 0.6794 0.3654 0.7566
Mg: 0.6973 0.6967 0.2749
Mg: 0.8865 0.6212 0.7934
Si: 0.1268 0.1809 0.7868
Si: 0.2295 0.0956 0.1603
Si: 0.2332 0.5308 0.9965
Si: 0.2454 0.6703 0.7695
Si: 0.2776 0.4066 0.6681
Si: 0.3181 0.1950 0.9554
Si: 0.3190 0.7287 0.2057
Si: 0.3806 0.9112 0.6709
Si: 0.5917 0.0729 0.6655
Si: 0.6036 0.0751 0.4122
Si: 0.6594 0.0060 0.9076
Si: 0.6683 0.6914 0.5399
Si: 0.8520 0.2084 0.3318
Si: 0.8542 0.3432 0.0985
Si: 0.8850 0.6563 0.0491
Si: 0.9325 0.9519 0.6160
Si: 0.9763 0.8583 0.2838
Si: 0.9993 0.6830 0.5070

Principal peaks in the range 10° ≤ 2θ ≤ 90°, by angle:
two_theta  Rel. int.
33.32  63
34.74  42
36.02  65
36.11  67
36.90  36
37.37  100
37.66  55
39.20  59
41.63  46
44.64  45

# 4
This entry pairs a crystal structure of Sr2CdN2 with its calculated powder X-ray diffraction pattern. Radiation: Cu Kα (weighted mean of Kα1 and Kα2). Structure: a structure optimized by DFT (GGA-PBE).

Atomic structure:
Lattice parameters (Å, degrees): 7.4231 7.4231 7.4231 149.63 149.63 43.48
Fractional coordinates of all 5 atoms:
Sr: 0.1649 0.1649 0.0000
Sr: 0.8351 0.8351 0.0000
Cd: 0.5000 0.5000 0.0000
N: 0.3492 0.3492 0.0000
N: 0.6508 0.6508 0.0000

Principal peaks in the range 10° ≤ 2θ ≤ 90°, by angle:
two_theta  Rel. int.
30.10  100
32.56  59
39.20  17
46.72  21
51.85  29
56.58  34
62.58  16
65.47  11
77.64  9
84.23  13

# 5
This entry pairs a crystal structure of Cs2PrAgCl6 with its calculated powder X-ray diffraction pattern. Radiation: Cu Kα (weighted mean of Kα1 and Kα2). Structure: a structure optimized by DFT (GGA-PBE).

Atomic structure:
Lattice parameters (Å, degrees): 7.8295 7.8295 7.8295 60.00 60.00 60.00
Fractional coordinates of all 10 atoms:
Cs: 0.2500 0.2500 0.2500
Cs: 0.7500 0.7500 0.7500
Pr: 0.0000 0.0000 0.0000
Ag: 0.5000 0.5000 0.5000
Cl: 0.2490 0.2490 0.7510
Cl: 0.2490 0.7510 0.2490
Cl: 0.2490 0.7510 0.7510
Cl: 0.7510 0.2490 0.2490
Cl: 0.7510 0.2490 0.7510
Cl: 0.7510 0.7510 0.2490

Principal peaks in the range 10° ≤ 2θ ≤ 90°, by angle:
two_theta  Rel. int.
22.71  100
32.34  56
39.89  47
46.39  39
52.25  21
57.68  13
62.80  25
72.42  12
77.03  17
86.03  13

# 6
This entry pairs a crystal structure of SmAu with its calculated powder X-ray diffraction pattern. Radiation: Cu Kα (weighted mean of Kα1 and Kα2). Structure: a structure optimized by DFT (GGA-PBE).

Atomic structure:
Lattice parameters (Å, degrees): 3.6793 3.6793 3.6793 90.00 90.00 90.00
Fractional coordinates of all 2 atoms:
Sm: 0.0000 0.0000 0.0000
Au: 0.5000 0.5000 0.5000

Principal peaks in the range 10° ≤ 2θ ≤ 90°, by angle:
two_theta  Rel. int.
24.19  2
34.47  100
42.56  1
49.55  18
55.88  1
61.76  38
72.69  12
77.89  1
82.99  17